Diffraction record for PrTiSe3. The X-ray diffraction stick pattern is theoretical, not measured: it uses DFT lattice parameters and positions (PBE) and Cu Kα (weighted mean of Kα1 and Kα2).
Neutral-atom scattering factors, no anomalous dispersion.

Crystal structure
```
PrTiSe3
1.0
8.3161 0.0000 0.0000
0.0000 3.9150 0.0000
0.0000 0.0000 14.0467
Pr Ti Se
4 4 12
direct
0.0864 0.2500 0.1702 Pr
0.4136 0.7500 0.6702 Pr
0.5864 0.2500 0.3298 Pr
0.9136 0.7500 0.8298 Pr
0.1425 0.7500 0.4540 Ti
0.3575 0.2500 0.9540 Ti
0.6425 0.7500 0.0460 Ti
0.8575 0.2500 0.5460 Ti
0.0261 0.7500 0.6180 Se
0.1591 0.7500 0.0066 Se
0.1988 0.2500 0.7912 Se
0.3012 0.7500 0.2912 Se
0.3409 0.2500 0.5066 Se
0.4739 0.2500 0.1180 Se
0.5261 0.7500 0.8820 Se
0.6591 0.7500 0.4934 Se
0.6988 0.2500 0.7088 Se
0.8012 0.7500 0.2088 Se
0.8409 0.2500 0.9934 Se
0.9739 0.2500 0.3820 Se
```

Main lines, sorted by position (2θ from 15° to 90°):
- 2θ = 31.67°, I = 76
- 2θ = 32.04°, I = 72
- 2θ = 33.40°, I = 31
- 2θ = 33.67°, I = 42
- 2θ = 33.94°, I = 100
- 2θ = 34.79°, I = 27
- 2θ = 39.48°, I = 39
- 2θ = 41.50°, I = 18
- 2θ = 46.39°, I = 38
- 2θ = 62.07°, I = 25

Diffraction record for Ac6PtPb3. The X-ray diffraction stick pattern is theoretical, not measured: it uses DFT lattice parameters and positions (PBE) and Cu Kα (weighted mean of Kα1 and Kα2).
Neutral-atom scattering factors, no anomalous dispersion.

Crystal structure
```
Ac6PtPb3
1.0
6.3765 -8.1153 0.0000
6.3765 8.1153 0.0000
0.0000 0.0000 8.0837
Ac Pt Pb
12 2 6
direct
0.0030 0.9970 0.5000 Ac
0.0942 0.5935 0.4162 Ac
0.2399 0.7601 0.9283 Ac
0.3036 0.3678 0.9259 Ac
0.3678 0.3036 0.4259 Ac
0.4065 0.9058 0.4162 Ac
0.5935 0.0942 0.9162 Ac
0.6322 0.6964 0.9259 Ac
0.6964 0.6322 0.4259 Ac
0.7601 0.2399 0.4283 Ac
0.9058 0.4065 0.9162 Ac
0.9970 0.0030 0.0000 Ac
0.1423 0.8577 0.2436 Pt
0.8577 0.1423 0.7436 Pt
0.0691 0.2926 0.2355 Pb
0.2926 0.0691 0.7355 Pb
0.3903 0.6097 0.6204 Pb
0.6097 0.3903 0.1204 Pb
0.7074 0.9309 0.2355 Pb
0.9309 0.7074 0.7355 Pb
```

Main lines, sorted by position (2θ from 15° to 90°):
- 2θ = 20.85°, I = 59
- 2θ = 21.97°, I = 23
- 2θ = 28.90°, I = 100
- 2θ = 31.02°, I = 46
- 2θ = 31.24°, I = 87
- 2θ = 34.79°, I = 33
- 2θ = 40.00°, I = 35
- 2θ = 42.53°, I = 28
- 2θ = 53.70°, I = 37
- 2θ = 56.67°, I = 31